# Np2Pd4Se5
Computed powder X-ray diffraction pattern, a wavelength of 1.5418 Å. Input: a crystal structure in Alexandria, relaxed with PBE.
Peak positions follow from Bragg's law for the DFT cell and can differ from measured ones.

Peak list (6 most intense, 2θ from 10° to 90°, most intense first)
two_theta, d [Å], intensity
31.84, 2.811, 100.0
43.77, 2.068, 86.7
25.88, 3.443, 53.1
47.46, 1.916, 36.1
38.27, 2.352, 35.1
28.74, 3.106, 28.1

a = 16.7976 Å, b = 16.7976 Å, c = 16.7976 Å
α = 14.14°, β = 14.14°, γ = 14.14°
Fractional positions:
Np  0.1320  0.1320  0.1320
Np  0.8680  0.8680  0.8680
Pd  0.3166  0.3166  0.3166
Pd  0.4197  0.4197  0.4197
Pd  0.5803  0.5803  0.5803
Pd  0.6834  0.6834  0.6834
Se  0.2325  0.2325  0.2325
Se  0.3685  0.3685  0.3685
Se  0.5000  0.5000  0.5000
Se  0.6315  0.6315  0.6315
Se  0.7675  0.7675  0.7675